Record 1
Starting from DFT lattice parameters and positions (PBE), the powder diffractogram of PmY3Ga3 was simulated for Cu Kα.
No peak broadening, texture or thermal motion is included.

Largest 12 diffraction maxima, in order of rising 2θ, 2θ = 10–80°:
2theta, I_rel
21.59, 7
29.01, 28
29.44, 26
33.49, 16
34.99, 100
37.51, 26
44.88, 9
48.38, 13
51.15, 10
52.21, 11
53.28, 10
66.06, 26

Cell: 9.2702 9.2702 4.7955 Å, 90.00 90.00 120.00°
Fractional coordinates of all 14 atoms:
Pm1 0.3333 0.6667 0.2500
Pm2 0.6667 0.3333 0.7500
Y1 0.0191 0.2582 0.7500
Y2 0.2390 0.9809 0.7500
Y3 0.2582 0.2390 0.2500
Y4 0.7418 0.7610 0.7500
Y5 0.7610 0.0191 0.2500
Y6 0.9809 0.7418 0.2500
Ga1 0.0574 0.6079 0.7500
Ga2 0.3921 0.4495 0.7500
Ga3 0.4495 0.0574 0.2500
Ga4 0.5505 0.9426 0.7500
Ga5 0.6079 0.5505 0.2500
Ga6 0.9426 0.3921 0.2500


Record 2
Starting from DFT lattice parameters and positions (PBE), the powder diffractogram of LiPrThTe3 was simulated for Cu Kα.
No peak broadening, texture or thermal motion is included.

Largest 12 diffraction maxima, in order of rising 2θ, 2θ = 10–80°:
2theta, I_rel
19.24, 23
28.70, 85
28.96, 100
32.11, 25
33.24, 18
35.13, 44
37.03, 19
38.08, 19
38.27, 31
42.88, 26
45.72, 21
58.81, 18

Cell: 9.4162 4.2185 9.6492 Å, 90.00 106.44 90.00°
Fractional coordinates of all 12 atoms:
Li1 0.0834 0.2500 0.0929
Li2 0.9166 0.7500 0.9071
Pr1 0.1861 0.2500 0.7365
Pr2 0.8139 0.7500 0.2635
Th1 0.3546 0.7500 0.3643
Th2 0.6454 0.2500 0.6357
Te1 0.0972 0.2500 0.3807
Te2 0.2213 0.7500 0.0100
Te3 0.4285 0.7500 0.7107
Te4 0.5715 0.2500 0.2893
Te5 0.7787 0.2500 0.9900
Te6 0.9028 0.7500 0.6193